Starting from a crystal structure in the Materials Project, relaxed with GGA-PBE, the X-ray diffraction stick pattern of Tb2ZnIr was calculated for Cu Kα (λ = 1.5418 Å).
Intensities are scaled so that the largest is 100.

Structural model:
```
4
Lattice="0.0000 3.4992 3.4992 3.4992 0.0000 3.4992 3.4992 3.4992 0.0000" Properties=species:S:1:pos:R:3 pbc="T T T"
Tb 1.7496 1.7496 1.7496
Tb 5.2488 5.2488 5.2488
Zn 0.0000 0.0000 0.0000
Ir 3.4992 3.4992 3.4992
```

Peak list (9 most intense, 10° ≤ 2θ ≤ 80°, sorted by position)
| 2theta | d/Å | Rel. int. |
| --- | --- | --- |
| 22.00 | 4.041 | 10 |
| 25.45 | 3.499 | 1 |
| 36.31 | 2.474 | 100 |
| 42.86 | 2.110 | 5 |
| 52.29 | 1.750 | 18 |
| 57.39 | 1.606 | 2 |
| 65.32 | 1.429 | 36 |
| 69.83 | 1.347 | 2 |
| 77.09 | 1.237 | 11 |

***

Starting from a crystal structure in the Materials Project, relaxed with GGA-PBE, the X-ray diffraction stick pattern of Tc3Ir was calculated for Cu Kα (λ = 1.5418 Å).
Intensities are scaled so that the largest is 100.

Structural model:
```
8
Lattice="5.5396 0.0000 0.0000 -2.7698 4.7975 0.0000 0.0000 0.0000 4.3635" Properties=species:S:1:pos:R:3 pbc="T T T"
Tc 0.0000 1.5526 1.0909
Tc -1.4252 4.0212 1.0909
Tc 1.3446 0.7763 3.2726
Tc 1.4252 4.0212 1.0909
Tc 4.1951 0.7763 3.2726
Tc 2.7698 3.2449 3.2726
Ir 0.0000 3.1983 3.2726
Ir 2.7698 1.5992 1.0909
```

Peak list (10 most intense, 10° ≤ 2θ ≤ 80°, sorted by position)
| 2theta | d/Å | Rel. int. |
| --- | --- | --- |
| 27.63 | 3.228 | 12 |
| 32.32 | 2.770 | 5 |
| 37.49 | 2.399 | 25 |
| 41.38 | 2.182 | 25 |
| 43.03 | 2.102 | 100 |
| 53.46 | 1.714 | 3 |
| 57.06 | 1.614 | 14 |
| 67.65 | 1.385 | 17 |
| 76.61 | 1.244 | 18 |
| 80.00 | 1.199 | 3 |

***

Starting from a crystal structure in the Materials Project, relaxed with GGA-PBE, the X-ray diffraction stick pattern of TcIr was calculated for Cu Kα (λ = 1.5418 Å).
Intensities are scaled so that the largest is 100.

Structural model:
```
2
Lattice="2.7596 0.0000 0.0000 -1.3798 2.3899 0.0000 0.0000 0.0000 4.3839" Properties=species:S:1:pos:R:3 pbc="T T T"
Tc 0.0000 0.0000 0.0000
Ir 0.0000 1.5933 2.1920
```

Peak list (9 most intense, 10° ≤ 2θ ≤ 80°, sorted by position)
| 2theta | d/Å | Rel. int. |
| --- | --- | --- |
| 20.26 | 4.384 | 13 |
| 37.64 | 2.390 | 30 |
| 41.18 | 2.192 | 25 |
| 43.11 | 2.098 | 100 |
| 57.01 | 1.615 | 18 |
| 63.68 | 1.461 | 1 |
| 67.93 | 1.380 | 17 |
| 71.71 | 1.316 | 3 |
| 76.39 | 1.247 | 19 |

***

Starting from a crystal structure in the Materials Project, relaxed with GGA-PBE, the X-ray diffraction stick pattern of TlTcIr2 was calculated for Cu Kα (λ = 1.5418 Å).
Intensities are scaled so that the largest is 100.

Structural model:
```
4
Lattice="0.0000 3.2375 3.2375 3.2375 0.0000 3.2375 3.2375 3.2375 0.0000" Properties=species:S:1:pos:R:3 pbc="T T T"
Tl 0.0000 0.0000 0.0000
Tc 3.2375 3.2375 3.2375
Ir 1.6188 1.6188 1.6188
Ir 4.8563 4.8563 4.8563
```

Peak list (9 most intense, 10° ≤ 2θ ≤ 80°, sorted by position)
| 2theta | d/Å | Rel. int. |
| --- | --- | --- |
| 23.80 | 3.738 | 5 |
| 27.55 | 3.238 | 2 |
| 39.36 | 2.289 | 100 |
| 46.52 | 1.952 | 3 |
| 56.88 | 1.619 | 17 |
| 62.53 | 1.485 | 1 |
| 64.34 | 1.448 | 1 |
| 71.36 | 1.322 | 35 |
| 76.44 | 1.246 | 1 |

***

Question: Number 3 is which compound?
Answer: TcIr

***

Question: Which formula does entry 3 have?
Answer: TcIr